Entry 1:
This entry pairs a crystal structure of TbGa4B3O12 with its computed X-ray diffraction stick pattern. Radiation: λ = 1.5418 Å (Cu Kα). Structure: the GGA-PBE geometry in Alexandria.

Most intense lines, 10 to 90 degrees two-theta, low angle first:
2theta	I/Imax
17.68	53
30.88	24
35.81	100
40.21	34
47.99	33
64.35	49

Structure:
abc: 6.1425 6.1425 6.1425
angles: 109.47 109.47 109.47
Fractional coordinates of all 20 atoms:
Tb 0.0000 0.0000 0.0000
Ga 0.0000 0.0000 0.5000
Ga 0.0000 0.5000 0.0000
Ga 0.5000 0.0000 0.0000
Ga 0.5000 0.5000 0.5000
B 0.0000 0.5000 0.5000
B 0.5000 0.0000 0.5000
B 0.5000 0.5000 0.0000
O 0.1556 0.3332 0.4888
O 0.1556 0.6668 0.8224
O 0.1776 0.8444 0.3332
O 0.3332 0.1776 0.8444
O 0.3332 0.4888 0.1556
O 0.4888 0.1556 0.3332
O 0.5112 0.8444 0.6668
O 0.6668 0.5112 0.8444
O 0.6668 0.8224 0.1556
O 0.8224 0.1556 0.6668
O 0.8444 0.3332 0.1776
O 0.8444 0.6668 0.5112



Entry 2:
This entry pairs a crystal structure of ZnGaBO4 with its computed X-ray diffraction stick pattern. Radiation: λ = 1.5418 Å (Cu Kα). Structure: the GGA-PBE geometry in Alexandria.

Most intense lines, 10 to 90 degrees two-theta, low angle first:
2theta	I/Imax
24.77	30
32.31	56
35.92	69
37.01	100
42.15	23
64.53	36

Structure:
abc: 5.0334 5.0334 5.7088
angles: 90.00 90.00 113.20
Fractional coordinates of all 14 atoms:
Zn 0.0000 0.0000 0.0000
Zn 0.0000 0.0000 0.5000
Ga 0.3506 0.6494 0.7500
Ga 0.6494 0.3506 0.2500
B 0.3512 0.6488 0.2500
B 0.6488 0.3512 0.7500
O 0.2509 0.7491 0.0404
O 0.2509 0.7491 0.4596
O 0.2554 0.3148 0.2500
O 0.3148 0.2554 0.7500
O 0.6852 0.7446 0.2500
O 0.7446 0.6852 0.7500
O 0.7491 0.2509 0.5404
O 0.7491 0.2509 0.9596



Entry 3:
This entry pairs a crystal structure of Sr2GaBPd6 with its computed X-ray diffraction stick pattern. Radiation: λ = 1.5418 Å (Cu Kα). Structure: the GGA-PBE geometry in Alexandria.

Most intense lines, 10 to 90 degrees two-theta, low angle first:
2theta	I/Imax
33.79	100
39.19	49
39.29	24
56.65	38
67.57	17
67.71	17

Structure:
abc: 6.4965 6.4965 6.4867
angles: 119.89 119.89 90.18
Fractional coordinates of all 10 atoms:
Sr 0.2500 0.7500 0.0000
Sr 0.7500 0.2500 0.0000
Ga 0.0000 0.0000 0.5000
B 0.5000 0.5000 0.5000
Pd 0.2707 0.2707 0.0414
Pd 0.2706 0.2706 0.4999
Pd 0.2707 0.7293 0.5000
Pd 0.7293 0.2707 0.5000
Pd 0.7294 0.7294 0.5001
Pd 0.7293 0.7293 0.9586



Entry 4:
This entry pairs a crystal structure of PmGaBRu2 with its computed X-ray diffraction stick pattern. Radiation: λ = 1.5418 Å (Cu Kα). Structure: the GGA-PBE geometry in Alexandria.

Most intense lines, 10 to 90 degrees two-theta, low angle first:
2theta	I/Imax
32.76	63
33.48	95
34.97	100
43.43	32
43.84	41
60.81	31

Structure:
abc: 5.8459 5.8459 7.4234
angles: 90.00 90.00 138.62
Fractional coordinates of all 10 atoms:
Pm 0.0495 0.9505 0.7500
Pm 0.9505 0.0495 0.2500
Ga 0.2269 0.7731 0.2500
Ga 0.7731 0.2269 0.7500
B 0.5000 0.5000 0.0000
B 0.5000 0.5000 0.5000
Ru 0.3254 0.6746 0.5589
Ru 0.3254 0.6746 0.9411
Ru 0.6746 0.3254 0.0589
Ru 0.6746 0.3254 0.4411



Entry 5:
This entry pairs a crystal structure of Pr3GaB2Rh9 with its computed X-ray diffraction stick pattern. Radiation: λ = 1.5418 Å (Cu Kα). Structure: the GGA-PBE geometry in Alexandria.

Most intense lines, 10 to 90 degrees two-theta, low angle first:
2theta	I/Imax
35.00	32
35.59	100
41.15	85
59.22	25
60.00	27
71.39	22

Structure:
abc: 6.1675 6.1675 7.6904
angles: 90.00 90.00 120.00
Fractional coordinates of all 15 atoms:
Pr 0.0000 0.0000 0.0000
Pr 0.3333 0.6667 0.6600
Pr 0.6667 0.3333 0.3400
Ga 0.0000 0.0000 0.5000
B 0.3333 0.6667 0.1458
B 0.6667 0.3333 0.8542
Rh 0.0000 0.5000 0.0000
Rh 0.1783 0.3566 0.3090
Rh 0.1783 0.8217 0.3090
Rh 0.3566 0.1783 0.6910
Rh 0.5000 0.0000 0.0000
Rh 0.5000 0.5000 0.0000
Rh 0.6434 0.8217 0.3090
Rh 0.8217 0.1783 0.6910
Rh 0.8217 0.6434 0.6910



Entry 6:
This entry pairs a crystal structure of GaBPt3 with its computed X-ray diffraction stick pattern. Radiation: λ = 1.5418 Å (Cu Kα). Structure: the GGA-PBE geometry in Alexandria.

Most intense lines, 10 to 90 degrees two-theta, low angle first:
2theta	I/Imax
31.77	62
32.77	79
37.27	100
43.15	36
46.28	53
46.39	65

Structure:
abc: 6.3608 6.3608 6.3608
angles: 52.57 52.57 52.57
Fractional coordinates of all 10 atoms:
Ga 0.1109 0.1109 0.1109
Ga 0.8891 0.8891 0.8891
B 0.3323 0.3323 0.3323
B 0.6677 0.6677 0.6677
Pt 0.0888 0.5267 0.6428
Pt 0.3572 0.4733 0.9112
Pt 0.4733 0.9112 0.3572
Pt 0.5267 0.6428 0.0888
Pt 0.6428 0.0888 0.5267
Pt 0.9112 0.3572 0.4733



Entry 7:
This entry pairs a crystal structure of GaBPt4 with its computed X-ray diffraction stick pattern. Radiation: λ = 1.5418 Å (Cu Kα). Structure: the GGA-PBE geometry in Alexandria.

Most intense lines, 10 to 90 degrees two-theta, low angle first:
2theta	I/Imax
25.97	31
31.82	20
36.60	29
39.17	100
45.42	26
45.61	19

Structure:
abc: 6.8624 4.9107 5.6254
angles: 90.00 90.00 90.00
Fractional coordinates of all 12 atoms:
Ga 0.0000 0.0000 0.0000
Ga 0.0000 0.5000 0.5000
B 0.5000 0.0000 0.7471
B 0.5000 0.5000 0.2471
Pt 0.2565 0.2326 0.2779
Pt 0.2565 0.2674 0.7779
Pt 0.3413 0.7454 0.5025
Pt 0.3413 0.7546 0.0025
Pt 0.6587 0.2454 0.0025
Pt 0.6587 0.2546 0.5025
Pt 0.7435 0.7326 0.7779
Pt 0.7435 0.7674 0.2779



Entry 8:
This entry pairs a crystal structure of Ga2BPt6 with its computed X-ray diffraction stick pattern. Radiation: λ = 1.5418 Å (Cu Kα). Structure: the GGA-PBE geometry in Alexandria.

Most intense lines, 10 to 90 degrees two-theta, low angle first:
2theta	I/Imax
36.80	47
37.90	41
41.26	100
46.42	24
66.13	22
78.16	28

Structure:
abc: 5.6519 5.6519 9.7660
angles: 90.00 90.00 120.00
Fractional coordinates of all 18 atoms:
Ga 0.0000 0.0000 0.0000
Ga 0.0000 0.0000 0.5000
Ga 0.3333 0.6667 0.2484
Ga 0.6667 0.3333 0.7484
B 0.3333 0.6667 0.6130
B 0.6667 0.3333 0.1130
Pt 0.0064 0.5032 0.9814
Pt 0.1621 0.3242 0.7420
Pt 0.1621 0.8379 0.7420
Pt 0.3242 0.1621 0.2420
Pt 0.4968 0.5032 0.9814
Pt 0.4968 0.9936 0.9814
Pt 0.5032 0.0064 0.4814
Pt 0.5032 0.4968 0.4814
Pt 0.6758 0.8379 0.7420
Pt 0.8379 0.1621 0.2420
Pt 0.8379 0.6758 0.2420
Pt 0.9936 0.4968 0.4814



Entry 9:
This entry pairs a crystal structure of VGaBPt2 with its computed X-ray diffraction stick pattern. Radiation: λ = 1.5418 Å (Cu Kα). Structure: the GGA-PBE geometry in Alexandria.

Most intense lines, 10 to 90 degrees two-theta, low angle first:
2theta	I/Imax
21.47	29
30.38	22
37.50	100
43.49	35
63.39	23
75.86	26

Structure:
abc: 4.1614 4.1614 4.1390
angles: 90.00 90.00 90.00
Fractional coordinates of all 5 atoms:
V 0.0000 0.0000 0.0000
Ga 0.5000 0.5000 0.0000
B 0.0000 0.0000 0.5000
Pt 0.0000 0.5000 0.5000
Pt 0.5000 0.0000 0.5000



Entry 10:
This entry pairs a crystal structure of RbGa3B with its computed X-ray diffraction stick pattern. Radiation: λ = 1.5418 Å (Cu Kα). Structure: the GGA-PBE geometry in Alexandria.

Most intense lines, 10 to 90 degrees two-theta, low angle first:
2theta	I/Imax
32.46	100
37.66	55
54.32	37
64.72	39
67.98	12
89.41	16

Structure:
abc: 4.7769 4.7769 4.7769
angles: 90.00 90.00 90.00
Fractional coordinates of all 5 atoms:
Rb 0.0000 0.0000 0.0000
Ga 0.0000 0.5000 0.5000
Ga 0.5000 0.0000 0.5000
Ga 0.5000 0.5000 0.0000
B 0.5000 0.5000 0.5000



Entry 11:
This entry pairs a crystal structure of GaB6Rh12 with its computed X-ray diffraction stick pattern. Radiation: λ = 1.5418 Å (Cu Kα). Structure: the GGA-PBE geometry in Alexandria.

Most intense lines, 10 to 90 degrees two-theta, low angle first:
2theta	I/Imax
33.14	19
37.18	100
40.88	40
44.32	86
72.01	41
76.85	34

Structure:
abc: 6.6222 6.6222 6.6222
angles: 109.47 109.47 109.47
Fractional coordinates of all 19 atoms:
Ga 0.0000 0.0000 0.0000
B 0.1191 0.6191 0.5000
B 0.3809 0.5000 0.8809
B 0.5000 0.1191 0.6191
B 0.5000 0.8809 0.3809
B 0.6191 0.5000 0.1191
B 0.8809 0.3809 0.5000
Rh 0.1251 0.8173 0.3077
Rh 0.1827 0.3077 0.4904
Rh 0.1827 0.6923 0.8749
Rh 0.3077 0.1251 0.8173
Rh 0.3077 0.4904 0.1827
Rh 0.4904 0.1827 0.3077
Rh 0.5096 0.8173 0.6923
Rh 0.6923 0.5096 0.8173
Rh 0.6923 0.8749 0.1827
Rh 0.8173 0.3077 0.1251
Rh 0.8173 0.6923 0.5096
Rh 0.8749 0.1827 0.6923



Entry 12:
This entry pairs a crystal structure of Tm2GaBRh6 with its computed X-ray diffraction stick pattern. Radiation: λ = 1.5418 Å (Cu Kα). Structure: the GGA-PBE geometry in Alexandria.

Most intense lines, 10 to 90 degrees two-theta, low angle first:
2theta	I/Imax
28.94	16
35.64	100
41.39	69
59.96	44
71.74	35
75.47	14

Structure:
abc: 6.1707 6.1707 6.1707
angles: 60.00 60.00 60.00
Fractional coordinates of all 10 atoms:
Tm 0.2500 0.2500 0.2500
Tm 0.7500 0.7500 0.7500
Ga 0.0000 0.0000 0.0000
B 0.5000 0.5000 0.5000
Rh 0.2672 0.2672 0.7328
Rh 0.2672 0.7328 0.2672
Rh 0.2672 0.7328 0.7328
Rh 0.7328 0.2672 0.2672
Rh 0.7328 0.2672 0.7328
Rh 0.7328 0.7328 0.2672



Entry 13:
This entry pairs a crystal structure of Tb2GaB2Ru5 with its computed X-ray diffraction stick pattern. Radiation: λ = 1.5418 Å (Cu Kα). Structure: the GGA-PBE geometry in Alexandria.

Most intense lines, 10 to 90 degrees two-theta, low angle first:
2theta	I/Imax
35.51	100
38.71	99
39.17	37
41.46	100
42.14	35
44.71	32

Structure:
abc: 9.5898 9.5898 3.1299
angles: 90.00 90.00 90.00
Fractional coordinates of all 20 atoms:
Tb 0.1762 0.3238 0.0000
Tb 0.3238 0.8238 0.0000
Tb 0.6762 0.1762 0.0000
Tb 0.8238 0.6762 0.0000
Ga 0.0000 0.0000 0.0000
Ga 0.5000 0.5000 0.0000
B 0.1241 0.6241 0.0000
B 0.3759 0.1241 0.0000
B 0.6241 0.8759 0.0000
B 0.8759 0.3759 0.0000
Ru 0.0000 0.5000 0.5000
Ru 0.0691 0.7814 0.5000
Ru 0.2186 0.0691 0.5000
Ru 0.2814 0.5691 0.5000
Ru 0.4309 0.2814 0.5000
Ru 0.5000 0.0000 0.5000
Ru 0.5691 0.7186 0.5000
Ru 0.7186 0.4309 0.5000
Ru 0.7814 0.9309 0.5000
Ru 0.9309 0.2186 0.5000